Structure and simulated X-ray diffraction stick pattern of MgAuSe4 (DFT lattice parameters and positions (PBE); Cu Kα X-rays).
Intensities are scaled so that the largest is 100.

Atomic structure:
```
MgAuSe4
1.0
0.000 4.045 4.045
4.045 0.000 4.045
4.045 4.045 0.000
Mg Au Se
1 1 4
Cartesian
0.000 0.000 0.000
2.022 2.022 2.022
5.049 3.041 3.041
3.041 5.049 3.041
3.041 3.041 5.049
5.049 5.049 5.049
```

The 10 most intense peaks (15° ≤ 2θ ≤ 90°), sorted by position:
2θ/deg, I/Imax
19.00, 22.4
21.97, 22.1
31.27, 33.5
36.85, 100.0
38.55, 33.2
55.66, 13.3
59.36, 33.0
65.24, 23.5
77.35, 11.7
78.41, 12.6